1.
Computed powder diffraction line list of Li9Mn2Co5O16 for Cu Kα, 1.54184 Å, from a PBE+U-relaxed structure.
Intensities are scaled so that the largest is 100.

```
data_Li9Mn2Co5O16
_cell_length_a 9.7707
_cell_length_b 2.8945
_cell_length_c 10.3265
_cell_angle_alpha 90.00
_cell_angle_beta 99.44
_cell_angle_gamma 90.00
_symmetry_space_group_name_H-M 'P 1 m 1'
_symmetry_Int_Tables_number 6
_symmetry_space_group_name_Hall 'P -2y'
loop_
_atom_site_label
_atom_site_fract_x
_atom_site_fract_y
_atom_site_fract_z
Li1 0.0000 0.0000 0.0000
Li2 0.0000 0.0000 0.4769
Li3 0.2528 0.5000 0.1289
Li4 0.2533 0.5000 0.6049
Li5 0.4962 0.0000 0.7202
Li6 0.5015 0.5000 0.4885
Li7 0.5097 0.0000 0.2632
Li8 0.7471 0.5000 0.3684
Li9 0.7495 0.5000 0.8677
Mn1 0.2507 0.0000 0.8658
Mn2 0.7434 0.0000 0.6074
Co1 0.0100 0.5000 0.2418
Co2 0.2693 0.0000 0.3821
Co3 0.5081 0.5000 0.9952
Co4 0.7563 0.0000 0.1198
Co5 0.9967 0.5000 0.7400
O1 0.1192 0.0000 0.6988
O2 0.1217 0.0000 0.1829
O3 0.1302 0.5000 0.4205
O4 0.1428 0.5000 0.9237
O5 0.3595 0.5000 0.8066
O6 0.3669 0.0000 0.5479
O7 0.3690 0.5000 0.3074
O8 0.3761 0.0000 0.0316
O9 0.6189 0.0000 0.9356
O10 0.6278 0.5000 0.1716
O11 0.6378 0.0000 0.4450
O12 0.6421 0.5000 0.6741
O13 0.8635 0.5000 0.5596
O14 0.8733 0.5000 0.0558
O15 0.8798 0.0000 0.7858
O16 0.8840 0.0000 0.2933
```

The 8 most intense peaks (10° ≤ 2θ ≤ 90°), in order of rising 2θ:
| d (Å) | two_theta | I_rel | (hkl) |
| --- | --- | --- | --- |
| 4.843 | 18.32 | 100.0 | 1 0 -2 |
| 2.536 | 35.39 | 13.8 | 3 0 2 |
| 2.481 | 36.20 | 25.5 | 2 1 0 |
| 2.113 | 42.80 | 27.2 | 2 0 4 |
| 2.064 | 43.86 | 52.8 | 3 1 -2 |
| 1.912 | 47.55 | 9.3 | 0 1 4 |
| 1.479 | 62.82 | 14.1 | 1 1 -6 |
| 1.474 | 63.08 | 14.0 | 5 1 2 |

---

2.
Computed powder diffraction line list of Li2MnP2O7 for Cu Kα, 1.54184 Å, from a PBE+U-relaxed structure.
Intensities are scaled so that the largest is 100.

```
data_Li2MnP2O7
_cell_length_a 6.8163
_cell_length_b 7.2524
_cell_length_c 13.0750
_cell_angle_alpha 90.00
_cell_angle_beta 90.00
_cell_angle_gamma 90.01
_symmetry_space_group_name_H-M 'P 1'
_symmetry_Int_Tables_number 1
_symmetry_space_group_name_Hall 'P 1'
loop_
_atom_site_label
_atom_site_fract_x
_atom_site_fract_y
_atom_site_fract_z
Li1 0.0000 0.0000 0.0000
Li2 0.9998 0.0000 0.4706
Li3 0.0020 0.5003 0.0002
Li4 0.0018 0.5003 0.4709
Li5 0.4998 0.9998 0.5003
Li6 0.5000 0.9999 0.9709
Li7 0.5022 0.4998 0.5000
Li8 0.5024 0.4997 0.9708
Mn1 0.0060 0.0060 0.2354
Mn2 0.4982 0.4969 0.7352
Mn3 0.5019 0.0000 0.7357
Mn4 0.9968 0.5060 0.2356
P1 0.1810 0.7493 0.8478
P2 0.1813 0.7499 0.6232
P3 0.3214 0.7507 0.1232
P4 0.3217 0.7510 0.3477
P5 0.6812 0.2505 0.3477
P6 0.6815 0.2508 0.1232
P7 0.8213 0.2492 0.6233
P8 0.8216 0.2497 0.8476
O1 0.0198 0.7499 0.9271
O2 0.0204 0.7509 0.5436
O3 0.0758 0.7496 0.7354
O4 0.1894 0.5768 0.1195
O5 0.1898 0.5771 0.3516
O6 0.1930 0.9269 0.1185
O7 0.1932 0.9272 0.3522
O8 0.3104 0.5741 0.6185
O9 0.3103 0.5736 0.8521
O10 0.3124 0.9243 0.6193
O11 0.3120 0.9239 0.8520
O12 0.4274 0.7507 0.2354
O13 0.4822 0.7489 0.0436
O14 0.4827 0.7496 0.4272
O15 0.5201 0.2488 0.4271
O16 0.5206 0.2495 0.0437
O17 0.5757 0.2504 0.2354
O18 0.6901 0.4236 0.6192
O19 0.6904 0.4241 0.8514
O20 0.6919 0.0735 0.6191
O21 0.6924 0.0740 0.8522
O22 0.8099 0.4271 0.1188
O23 0.8096 0.4268 0.3524
O24 0.8134 0.0770 0.1193
O25 0.8132 0.0766 0.3514
O26 0.9275 0.2494 0.7354
O27 0.9819 0.2499 0.5436
O28 0.9826 0.2509 0.9271
```

The 8 most intense peaks (10° ≤ 2θ ≤ 90°), in order of rising 2θ:
| d (Å) | two_theta | I_rel | (hkl) |
| --- | --- | --- | --- |
| 6.538 | 13.54 | 27.0 | 0 0 2 |
| 6.044 | 14.66 | 10.9 | 1 0 1 |
| 4.967 | 17.86 | 100.0 | 1 1 0 |
| 3.672 | 24.24 | 20.8 | 1 0 3 |
| 3.110 | 28.71 | 79.1 | 1 2 1 |
| 2.731 | 32.80 | 21.5 | 1 1 4 |
| 2.359 | 38.15 | 34.6 | 2 0 4 |
| 1.551 | 59.63 | 19.4 | 3 2 5 |

---

3.
Computed powder diffraction line list of Li2VCrO4 for Cu Kα, 1.54184 Å, from a PBE+U-relaxed structure.
Intensities are scaled so that the largest is 100.

```
data_Li2VCrO4
_cell_length_a 5.1521
_cell_length_b 5.9989
_cell_length_c 7.8721
_cell_angle_alpha 79.17
_cell_angle_beta 71.21
_cell_angle_gamma 89.96
_symmetry_space_group_name_H-M 'P -1'
_symmetry_Int_Tables_number 2
_symmetry_space_group_name_Hall '-P 1'
loop_
_atom_site_label
_atom_site_fract_x
_atom_site_fract_y
_atom_site_fract_z
Li1 0.9998 0.0902 0.1677
Li2 0.0009 0.4201 0.8333
Li3 0.0020 0.2542 0.4967
V1 0.5000 0.0000 0.5000
V2 0.5003 0.1639 0.8335
Cr1 0.4988 0.6630 0.8334
Cr2 0.5000 0.5000 0.5000
O1 0.2718 0.7027 0.6630
O2 0.2731 0.0505 0.3280
O3 0.2725 0.8739 0.9933
O4 0.2744 0.2098 0.6590
O5 0.2742 0.3768 0.9955
O6 0.2753 0.5456 0.3273
```

The 8 most intense peaks (10° ≤ 2θ ≤ 90°), in order of rising 2θ:
| d (Å) | two_theta | I_rel | (hkl) |
| --- | --- | --- | --- |
| 4.867 | 18.23 | 100.0 | 1 0 0 |
| 2.554 | 35.14 | 27.1 | 0 2 2 |
| 2.535 | 35.40 | 13.5 | 1 0 3 |
| 2.120 | 42.65 | 28.9 | 1 2 -1 |
| 2.114 | 42.78 | 28.6 | -1 2 2 |
| 2.099 | 43.09 | 28.0 | 2 0 3 |
| 1.493 | 62.17 | 15.3 | 1 -2 4 |
| 1.490 | 62.32 | 22.6 | 1 2 5 |

---

4.
Computed powder diffraction line list of Sr2La2FeCu3O10 for Cu Kα, 1.54184 Å, from a PBE+U-relaxed structure.
Intensities are scaled so that the largest is 100.

```
data_Sr2La2FeCu3O10
_cell_length_a 10.7017
_cell_length_b 10.7816
_cell_length_c 3.9910
_cell_angle_alpha 90.00
_cell_angle_beta 90.00
_cell_angle_gamma 90.00
_symmetry_space_group_name_H-M 'P b a m'
_symmetry_Int_Tables_number 55
_symmetry_space_group_name_Hall '-P 2 2ab'
loop_
_atom_site_label
_atom_site_fract_x
_atom_site_fract_y
_atom_site_fract_z
Sr1 0.0184 0.2485 0.0000
La1 0.2450 0.9715 0.0000
Fe1 0.0000 0.0000 0.5000
Cu1 0.0000 0.5000 0.5000
Cu2 0.2320 0.7287 0.5000
O1 0.0000 0.0000 0.0000
O2 0.0000 0.5000 0.0000
O3 0.1028 0.8465 0.5000
O4 0.1284 0.3836 0.5000
O5 0.1648 0.0893 0.5000
O6 0.2321 0.7281 0.0000
```

The 8 most intense peaks (10° ≤ 2θ ≤ 90°), in order of rising 2θ:
| d (Å) | two_theta | I_rel | (hkl) |
| --- | --- | --- | --- |
| 2.751 | 32.55 | 100.0 | 2 2 1 |
| 2.695 | 33.24 | 23.9 | 0 4 0 |
| 2.675 | 33.49 | 27.6 | 4 0 0 |
| 1.995 | 45.45 | 19.7 | 0 0 2 |
| 1.899 | 47.91 | 22.4 | 4 4 0 |
| 1.567 | 58.95 | 11.7 | 2 6 1 |
| 1.559 | 59.28 | 16.1 | 6 2 1 |
| 1.376 | 68.17 | 14.6 | 4 4 2 |

---

5.
Computed powder diffraction line list of LiCrSi4O10 for Cu Kα, 1.54184 Å, from a PBE+U-relaxed structure.
Intensities are scaled so that the largest is 100.

```
data_LiCrSi4O10
_cell_length_a 7.0906
_cell_length_b 7.4197
_cell_length_c 9.6285
_cell_angle_alpha 99.07
_cell_angle_beta 103.50
_cell_angle_gamma 116.69
_symmetry_space_group_name_H-M 'P 1'
_symmetry_Int_Tables_number 1
_symmetry_space_group_name_Hall 'P 1'
loop_
_atom_site_label
_atom_site_fract_x
_atom_site_fract_y
_atom_site_fract_z
Li1 0.0000 0.0000 0.0000
Li2 0.2215 0.5943 0.4746
Cr1 0.1416 0.9468 0.6167
Cr2 0.6488 0.5820 0.4737
Si1 0.0049 0.6210 0.7961
Si2 0.1544 0.3110 0.8541
Si3 0.1873 0.8675 0.2782
Si4 0.3016 0.5429 0.1823
Si5 0.4917 0.9889 0.9026
Si6 0.5912 0.6469 0.8036
Si7 0.6353 0.2130 0.2367
Si8 0.7900 0.9048 0.2902
O1 0.0626 0.0655 0.7786
O2 0.1337 0.6403 0.1738
O3 0.1789 0.3323 0.0338
O4 0.2350 0.8670 0.4500
O5 0.2563 0.8006 0.9097
O6 0.3470 0.4890 0.3385
O7 0.3902 0.0587 0.2480
O8 0.3994 0.4662 0.8461
O9 0.4363 0.0488 0.7510
O10 0.5085 0.6042 0.6248
O11 0.5407 0.7212 0.1758
O12 0.6096 0.1809 0.0588
O13 0.6587 0.8862 0.9018
O14 0.7311 0.4546 0.3255
O15 0.8122 0.1371 0.3109
O16 0.8300 0.6509 0.8687
O17 0.8391 0.8655 0.4558
O18 0.9594 0.6568 0.6281
O19 0.9741 0.9050 0.2127
O20 0.9801 0.3891 0.7817
```

The 8 most intense peaks (10° ≤ 2θ ≤ 90°), in order of rising 2θ:
| d (Å) | two_theta | I_rel | (hkl) |
| --- | --- | --- | --- |
| 6.319 | 14.01 | 64.3 | 0 1 0 |
| 5.994 | 14.78 | 44.3 | 1 0 -1 |
| 5.223 | 16.98 | 41.9 | -1 1 1 |
| 4.925 | 18.01 | 43.9 | 1 -1 1 |
| 4.462 | 19.90 | 52.9 | 0 0 2 |
| 3.804 | 23.38 | 100.0 | 1 1 -1 |
| 3.662 | 24.31 | 41.9 | 1 -2 0 |
| 3.075 | 29.04 | 63.3 | 0 1 -3 |

---

6.
Computed powder diffraction line list of Li4NiP6O18 for Cu Kα, 1.54184 Å, from a PBE+U-relaxed structure.
Intensities are scaled so that the largest is 100.

```
data_Li4NiP6O18
_cell_length_a 7.3058
_cell_length_b 7.4675
_cell_length_c 7.6025
_cell_angle_alpha 105.78
_cell_angle_beta 99.50
_cell_angle_gamma 114.42
_symmetry_space_group_name_H-M 'P 1'
_symmetry_Int_Tables_number 1
_symmetry_space_group_name_Hall 'P 1'
loop_
_atom_site_label
_atom_site_fract_x
_atom_site_fract_y
_atom_site_fract_z
Li1 0.0000 0.0000 0.0000
Li2 0.1174 0.4731 0.4028
Li3 0.2485 0.9396 0.6596
Li4 0.8491 0.5699 0.7038
Ni1 0.7021 0.0898 0.3863
P1 0.1386 0.3269 0.7634
P2 0.2688 0.7448 0.0442
P3 0.4479 0.3152 0.3114
P4 0.4919 0.6999 0.7644
P5 0.6969 0.2875 0.0599
P6 0.8058 0.6947 0.3388
O1 0.1068 0.7858 0.9389
O2 0.1149 0.1252 0.7809
O3 0.1697 0.4875 0.9741
O4 0.2196 0.2493 0.2828
O5 0.3645 0.8470 0.2595
O6 0.3664 0.7327 0.6111
O7 0.3670 0.4497 0.7364
O8 0.4709 0.2157 0.1038
O9 0.4733 0.8113 0.9696
O10 0.5722 0.5667 0.3539
O11 0.5763 0.2801 0.4647
O12 0.6584 0.1994 0.8507
O13 0.7198 0.7589 0.7949
O14 0.7898 0.5447 0.1305
O15 0.8262 0.8971 0.3241
O16 0.8304 0.2434 0.2022
O17 0.9685 0.6958 0.4901
O18 0.9741 0.3273 0.6113
```

The 8 most intense peaks (10° ≤ 2θ ≤ 90°), in order of rising 2θ:
| d (Å) | two_theta | I_rel | (hkl) |
| --- | --- | --- | --- |
| 6.307 | 14.04 | 49.0 | 1 0 0 |
| 5.642 | 15.71 | 100.0 | 1 0 -1 |
| 4.771 | 18.60 | 70.2 | 1 -1 1 |
| 3.580 | 24.87 | 42.7 | 1 -2 1 |
| 3.259 | 27.36 | 64.0 | 1 1 -2 |
| 3.148 | 28.35 | 49.2 | 0 2 0 |
| 3.111 | 28.70 | 35.5 | 1 -1 2 |
| 2.766 | 32.37 | 33.4 | -2 2 1 |